Structure and simulated X-ray diffraction stick pattern of SnI (a cell relaxed with PBE; Cu Ka).

The 10 most intense peaks (2θ from 15° to 90°), low angle first:
index, two_theta, I_rel
1 0 0, 18.26, 199
1 -1 0, 20.87, 1000
0 1 1, 25.07, 370
1 1 0, 28.18, 559
0 1 -2, 28.63, 653
0 2 -1, 32.30, 198
1 0 -2, 32.88, 301
2 0 0, 37.00, 255
-1 2 1, 39.78, 283
2 1 -2, 49.38, 269

Structure:
Cell lengths 5.0753, 5.8206, 6.5007 Å; angles 106.75, 90.06, 106.01 degrees
Sites, in units of the cell vectors:
1 Sn 0.2034 0.3591 0.4186
2 Sn 0.7966 0.6409 0.5814
3 I 0.2001 0.1909 0.8063
4 I 0.7999 0.8091 0.1937